Computed powder X-ray diffraction pattern of BaAc4Te7 for copper Kα, from a PBE-relaxed structure.
Intensities are scaled so that the largest is 100.

Top 6 peaks for 2θ from 15° to 90°, sorted by position:
Position (°2θ)	d [Å]	intensity
19.88	4.467	77
25.66	3.471	79
26.05	3.420	77
26.93	3.311	100
28.03	3.184	75
38.66	2.329	70

abc: 8.1869 8.1869 14.2000
angles: 105.00 105.00 33.06
Fractional coordinates of all 12 atoms:
Ba1 0.0000 0.0000 0.0000
Ac1 0.1288 0.1288 0.4211
Ac2 0.2285 0.2285 0.8422
Ac3 0.4326 0.4326 0.6274
Ac4 0.8239 0.8239 0.2379
Te1 0.0805 0.0805 0.6296
Te2 0.1687 0.1687 0.2091
Te3 0.3637 0.3637 0.0719
Te4 0.4678 0.4678 0.3773
Te5 0.5905 0.5905 0.8744
Te6 0.7893 0.7893 0.4741
Te7 0.8471 0.8471 0.7645